Ba3Pm2O4F3: computed X-ray powder pattern (CuKα), based on a GGA-PBE-relaxed structure.
No peak broadening, texture or thermal motion is included.

Top 10 peaks for 2θ = 5–70°, most intense first:
hkl 4 0 1, d = 3.271 Å, I = 100
hkl 1 1 -1, d = 3.175 Å, I = 50
hkl 7 1 -2, d = 1.851 Å, I = 39
hkl 2 0 -2, d = 2.245 Å, I = 26
hkl 9 1 1, d = 1.908 Å, I = 26
hkl 8 0 2, d = 1.635 Å, I = 16
hkl 10 0 0, d = 2.387 Å, I = 15
hkl 2 0 3, d = 1.428 Å, I = 8
hkl 2 2 -2, d = 1.587 Å, I = 8
hkl 3 1 -3, d = 1.420 Å, I = 7

Crystal structure
Unit cell a=24.292 b=4.490 c=4.489 alpha=90.00 beta=100.64 gamma=90.00
Space group C2 (No. 5)
Symmetry-distinct sites (fractional):
Ba1 0.000 0.000 0.000 [2 per cell]
Ba2 0.196 0.076 0.196 [4 per cell]
Pm1 0.104 0.519 0.604 [4 per cell]
O1 0.085 0.024 0.586 [4 per cell]
O2 0.201 0.423 0.701 [4 per cell]
F1 0.000 0.532 0.500 [2 per cell]
F2 0.129 0.587 0.129 [4 per cell]